Diffraction record for CuS4BrN4. The PXRD pattern is theoretical, not measured: it uses a structure optimized by DFT (GGA-PBE) and copper Kα.
Intensities are scaled so that the largest is 100.

a b c (Å): 9.1400 11.8644 6.9359
angles (deg): 90.00 105.94 90.00
Space group P2_1/c (No. 14)
Asymmetric unit:
Cu 0.0827 0.1721 0.3657 x4
S 0.1965 0.5782 0.9739 x4
S 0.2614 0.6109 0.3825 x4
S 0.3547 0.0797 0.7447 x4
S 0.4873 0.6218 0.1900 x4
Br 0.1120 0.1485 0.0295 x4
N 0.1364 0.6270 0.1604 x4
N 0.2281 0.0571 0.5278 x4
N 0.4146 0.6724 0.3617 x4
N 0.4931 0.5134 0.7671 x4

Largest 6 diffraction maxima, most intense first, 2θ from 10° to 90°:
d_spacing	I_rel	h k l
4.432	100	0 2 1
2.869	98	1 0 2
4.121	89	2 1 0
8.789	73	1 0 0
2.966	69	0 4 0
2.997	60	2 1 -2